This entry pairs a crystal structure of Ac3F8 with its computed PXRD pattern. Radiation: Cu Kα X-rays. Structure: a structure optimized by DFT (GGA-PBE).

Structural model:
```
data_Ac3F8
_chemical_formula_sum 'Ac3 F8'
_cell_length_a 6.1017
_cell_length_b 6.1017
_cell_length_c 6.1017
_cell_angle_alpha 90.00
_cell_angle_beta 90.00
_cell_angle_gamma 90.00
_symmetry_space_group_name_H-M 'P m -3 m'
_symmetry_Int_Tables_number 221
_symmetry_space_group_name_Hall '-P 4 2 3'
loop_
_atom_site_label
_atom_site_type_symbol
_atom_site_fract_x
_atom_site_fract_y
_atom_site_fract_z
Ac1 Ac 0.0000 0.0000 0.5000
F1 F 0.2252 0.2252 0.2252
```

Top 10 peaks for 10° ≤ 2θ ≤ 90°, sorted by position:
2θ/deg	I/Imax	hkl
14.5	38	1 0 0
20.6	26	1 1 0
25.3	100	1 1 1
29.3	30	2 0 0
41.9	59	2 2 0
49.5	51	3 1 1
66.8	21	3 3 1
68.8	14	4 2 0
76.5	18	4 2 2
82.1	16	3 3 3